Diffraction record for PuAg3S4. The powder X-ray diffraction pattern is theoretical, not measured: it uses a cell relaxed with PBE and Cu Kα, 1.54184 Å.
Kinematic intensities with the Lorentz-polarization factor, no thermal factor.

Atomic structure:
a b c (Å): 5.9956 5.9956 5.9956
angles (deg): 109.13 109.13 110.16
Fractional coordinates of all 8 atoms:
Pu1 0.0000 0.0000 0.0000
Ag1 0.2500 0.7500 0.5000
Ag2 0.5000 0.5000 0.0000
Ag3 0.7500 0.2500 0.5000
S1 0.0720 0.0720 0.5900
S2 0.4820 0.4820 0.4100
S3 0.5180 0.9280 0.0000
S4 0.9280 0.5180 0.0000

Peak list (10 most intense, 10 to 90 degrees two-theta, low angle first)
Position (°2θ)  I (rel.)
18.2  148
25.6  563
31.8  1000
36.6  478
49.2  653
52.7  145
59.5  143
66.4  150
74.9  151
86.4  159


Diffraction record for PuAg5S4. The powder X-ray diffraction pattern is theoretical, not measured: it uses a cell relaxed with PBE and Cu Kα, 1.54184 Å.
Kinematic intensities with the Lorentz-polarization factor, no thermal factor.

Atomic structure:
a b c (Å): 8.7076 8.8183 5.9367
angles (deg): 90.00 90.00 90.00
Fractional coordinates of all 20 atoms:
Pu1 0.2500 0.2500 0.2382
Pu2 0.7500 0.7500 0.7618
Ag1 0.0704 0.0711 0.7780
Ag2 0.0704 0.4289 0.7780
Ag3 0.2500 0.7500 0.7555
Ag4 0.4296 0.0711 0.7780
Ag5 0.4296 0.4289 0.7780
Ag6 0.5704 0.5711 0.2220
Ag7 0.5704 0.9289 0.2220
Ag8 0.7500 0.2500 0.2445
Ag9 0.9296 0.5711 0.2220
Ag10 0.9296 0.9289 0.2220
S1 0.0064 0.7500 0.5205
S2 0.2500 0.5319 0.0665
S3 0.2500 0.9681 0.0665
S4 0.4936 0.7500 0.5205
S5 0.5064 0.2500 0.4795
S6 0.7500 0.0319 0.9335
S7 0.7500 0.4681 0.9335
S8 0.9936 0.2500 0.4795

Peak list (10 most intense, 10 to 90 degrees two-theta, low angle first)
Position (°2θ)  I (rel.)
14.3  369
27.2  221
27.3  1000
28.8  332
30.1  412
34.0  889
34.4  450
42.2  572
43.8  237
56.1  265


Diffraction record for PuSiAg2S4. The powder X-ray diffraction pattern is theoretical, not measured: it uses a cell relaxed with PBE and Cu Kα, 1.54184 Å.
Kinematic intensities with the Lorentz-polarization factor, no thermal factor.

Atomic structure:
a b c (Å): 7.7318 7.7318 7.7318
angles (deg): 124.36 118.72 87.42
Fractional coordinates of all 16 atoms:
Pu1 0.0000 0.0000 0.0000
Pu2 0.5000 0.0000 0.5000
Si1 0.5000 0.0000 0.0000
Si2 0.5000 0.5000 0.5000
Ag1 0.0000 0.0000 0.5000
Ag2 0.0000 0.5000 0.0000
Ag3 0.0000 0.5000 0.5000
Ag4 0.5000 0.5000 0.0000
S1 0.2742 0.2454 0.0288
S2 0.2792 0.2821 0.5029
S3 0.2792 0.7763 0.9971
S4 0.2835 0.7546 0.5288
S5 0.7165 0.2454 0.4712
S6 0.7208 0.2237 0.0029
S7 0.7208 0.7179 0.4971
S8 0.7258 0.7546 0.9712

Peak list (10 most intense, 10 to 90 degrees two-theta, low angle first)
Position (°2θ)  I (rel.)
14.6  267
15.9  306
27.0  196
27.7  566
29.5  475
32.0  549
33.7  1000
46.1  195
47.2  714
57.2  190


Diffraction record for TmPuAg2S4. The powder X-ray diffraction pattern is theoretical, not measured: it uses a cell relaxed with PBE and Cu Kα, 1.54184 Å.
Kinematic intensities with the Lorentz-polarization factor, no thermal factor.

Atomic structure:
a b c (Å): 7.1877 7.1877 7.1877
angles (deg): 135.93 135.93 64.09
Fractional coordinates of all 8 atoms:
Tm1 0.0000 0.0000 0.0000
Pu1 0.7500 0.2500 0.5000
Ag1 0.2500 0.7500 0.5000
Ag2 0.5000 0.5000 0.0000
S1 0.2213 0.2213 0.0000
S2 0.5189 0.0189 0.5000
S3 0.7787 0.7787 0.0000
S4 0.9811 0.4811 0.5000

Peak list (10 most intense, 10 to 90 degrees two-theta, low angle first)
Position (°2θ)  I (rel.)
18.0  229
27.6  1000
29.3  477
33.2  729
44.9  583
47.7  259
50.9  229
56.0  302
57.0  284
86.9  178


Diffraction record for PuScSiAg. The powder X-ray diffraction pattern is theoretical, not measured: it uses a cell relaxed with PBE and Cu Kα, 1.54184 Å.
Kinematic intensities with the Lorentz-polarization factor, no thermal factor.

Atomic structure:
a b c (Å): 4.9266 4.9266 4.9266
angles (deg): 60.00 60.00 60.00
Fractional coordinates of all 4 atoms:
Pu1 0.0000 0.0000 0.0000
Sc1 0.5000 0.5000 0.5000
Si1 0.7500 0.7500 0.7500
Ag1 0.2500 0.2500 0.2500

Peak list (10 most intense, 10 to 90 degrees two-theta, low angle first)
Position (°2θ)  I (rel.)
22.1  556
25.6  129
36.5  1000
43.1  313
52.5  174
57.7  137
65.6  353
77.5  110
81.8  105
88.8  162


Diffraction record for PuAg7Se6. The powder X-ray diffraction pattern is theoretical, not measured: it uses a cell relaxed with PBE and Cu Kα, 1.54184 Å.
Kinematic intensities with the Lorentz-polarization factor, no thermal factor.

Atomic structure:
a b c (Å): 8.1208 8.1208 8.1208
angles (deg): 54.63 54.63 54.63
Fractional coordinates of all 14 atoms:
Pu1 0.0000 0.0000 0.0000
Ag1 0.1334 0.4394 0.8110
Ag2 0.1944 0.8601 0.5614
Ag3 0.4394 0.8110 0.1334
Ag4 0.5614 0.1944 0.8601
Ag5 0.6631 0.6631 0.6631
Ag6 0.8110 0.1334 0.4394
Ag7 0.8601 0.5614 0.1944
Se1 0.0662 0.7444 0.4044
Se2 0.2576 0.5948 0.9323
Se3 0.4044 0.0662 0.7444
Se4 0.5948 0.9323 0.2576
Se5 0.7444 0.4044 0.0662
Se6 0.9323 0.2576 0.5948

Peak list (10 most intense, 10 to 90 degrees two-theta, low angle first)
Position (°2θ)  I (rel.)
14.4  260
16.2  194
27.2  707
35.5  1000
42.0  800
46.5  398
56.1  245
72.5  216
79.9  146
83.3  176


Diffraction record for PuAg3Se3. The powder X-ray diffraction pattern is theoretical, not measured: it uses a cell relaxed with PBE and Cu Kα, 1.54184 Å.
Kinematic intensities with the Lorentz-polarization factor, no thermal factor.

Atomic structure:
a b c (Å): 8.1821 8.1821 8.1821
angles (deg): 54.76 54.76 54.76
Fractional coordinates of all 14 atoms:
Pu1 0.1666 0.1666 0.1666
Pu2 0.8334 0.8334 0.8334
Ag1 0.0285 0.3779 0.7152
Ag2 0.2848 0.9715 0.6221
Ag3 0.3779 0.7152 0.0285
Ag4 0.6221 0.2848 0.9715
Ag5 0.7152 0.0285 0.3779
Ag6 0.9715 0.6221 0.2848
Se1 0.0919 0.7612 0.4272
Se2 0.2388 0.5728 0.9081
Se3 0.4272 0.0919 0.7612
Se4 0.5728 0.9081 0.2388
Se5 0.7612 0.4272 0.0919
Se6 0.9081 0.2388 0.5728

Peak list (10 most intense, 10 to 90 degrees two-theta, low angle first)
Position (°2θ)  I (rel.)
14.2  262
16.0  197
27.0  882
35.2  1000
41.6  817
46.1  352
50.2  170
55.6  261
71.7  239
82.5  167


Diffraction record for PuAgSe2. The powder X-ray diffraction pattern is theoretical, not measured: it uses a cell relaxed with PBE and Cu Kα, 1.54184 Å.
Kinematic intensities with the Lorentz-polarization factor, no thermal factor.

Atomic structure:
a b c (Å): 7.2331 7.2331 7.2331
angles (deg): 32.56 32.56 32.56
Fractional coordinates of all 4 atoms:
Pu1 0.0000 0.0000 0.0000
Ag1 0.1695 0.1695 0.1695
Se1 0.5808 0.5808 0.5808
Se2 0.7520 0.7520 0.7520

Peak list (10 most intense, 10 to 90 degrees two-theta, low angle first)
Position (°2θ)  I (rel.)
12.9  208
25.7  515
26.8  431
30.9  357
33.6  1000
40.1  552
44.7  629
57.0  218
72.3  296
75.2  193